1.
# MnCu2GeTe4
Simulated PXRD pattern, Cu Ka. Input: a crystal structure in Alexandria, relaxed with PBE.
Intensities are scaled so that the largest is 100.

Peak list (10 most intense, 2θ = 10–90°, by angle)
25.32°, d 3.518, rel. 100; 41.71°, d 2.165, rel. 24; 42.05°, d 2.149, rel. 46; 49.43°, d 1.844, rel. 32; 50.01°, d 1.824, rel. 14; 60.47°, d 1.531, rel. 8; 67.10°, d 1.395, rel. 12; 76.38°, d 1.247, rel. 15; 77.07°, d 1.237, rel. 7; 81.76°, d 1.178, rel. 7

abc: 6.1243 6.1243 12.0640
angles: 90.00 90.00 90.00
Space group I-42m (No. 121)
Asymmetric unit:
Mn: 0.0000 0.0000 0.0000 [2 per cell]
Cu: 0.0000 0.5000 0.2500 [4 per cell]
Ge: 0.0000 0.0000 0.5000 [2 per cell]
Te: 0.2498 0.2498 0.3668 [8 per cell]



2.
# CuGeN2
Simulated PXRD pattern, Cu Ka. Input: a crystal structure in Alexandria, relaxed with PBE.
Intensities are scaled so that the largest is 100.

Peak list (10 most intense, 2θ = 10–90°, by angle)
32.36°, d 2.766, rel. 42; 33.23°, d 2.696, rel. 21; 34.13°, d 2.627, rel. 54; 36.72°, d 2.448, rel. 100; 37.49°, d 2.399, rel. 48; 47.75°, d 1.905, rel. 20; 58.82°, d 1.570, rel. 27; 62.80°, d 1.480, rel. 31; 69.79°, d 1.348, rel. 26; 70.39°, d 1.338, rel. 15

abc: 5.3928 6.4450 5.2540
angles: 90.00 90.00 90.00
Space group Pna2_1 (No. 33)
Asymmetric unit:
Cu: 0.0852 0.1266 0.0000 [4 per cell]
Ge: 0.0822 0.6242 0.9964 [4 per cell]
N: 0.0685 0.6112 0.3547 [4 per cell]
N: 0.0860 0.1358 0.3851 [4 per cell]



3.
# NpCuGeN
Simulated PXRD pattern, Cu Ka. Input: a crystal structure in Alexandria, relaxed with PBE.
Intensities are scaled so that the largest is 100.

Peak list (10 most intense, 2θ = 10–90°, by angle)
11.06°, d 7.999, rel. 13; 25.25°, d 3.527, rel. 24; 31.93°, d 2.803, rel. 100; 32.22°, d 2.779, rel. 29; 34.16°, d 2.625, rel. 31; 39.49°, d 2.282, rel. 18; 40.90°, d 2.206, rel. 12; 46.21°, d 1.965, rel. 33; 56.72°, d 1.623, rel. 24; 57.26°, d 1.609, rel. 39

abc: 3.9294 3.9294 7.9990
angles: 90.00 90.00 90.00
Space group P4/nmm (No. 129, origin choice 2)
Asymmetric unit:
Np: 0.2500 0.2500 0.1367 [2 per cell]
Cu: 0.2500 0.7500 0.5000 [2 per cell]
Ge: 0.2500 0.2500 0.6779 [2 per cell]
N: 0.2500 0.7500 0.0000 [2 per cell]



4.
# Na2Cu4GeSb3
Simulated PXRD pattern, Cu Ka. Input: a crystal structure in Alexandria, relaxed with PBE.
Intensities are scaled so that the largest is 100.

Peak list (10 most intense, 2θ = 10–90°, by angle)
16.02°, d 5.533, rel. 44; 22.02°, d 4.036, rel. 85; 31.86°, d 2.809, rel. 42; 33.42°, d 2.681, rel. 95; 41.67°, d 2.168, rel. 80; 44.10°, d 2.054, rel. 100; 46.05°, d 1.971, rel. 31; 60.40°, d 1.533, rel. 25; 63.83°, d 1.458, rel. 22; 77.75°, d 1.228, rel. 36

abc: 4.3351 4.3351 11.0653
angles: 90.00 90.00 90.00
Space group P-4m2 (No. 115)
Asymmetric unit:
Na: 0.0000 0.5000 0.2438 [2 per cell]
Cu: 0.0000 0.0000 0.0000 [1 per cell]
Cu: 0.0000 0.5000 0.6333 [2 per cell]
Cu: 0.5000 0.5000 0.0000 [1 per cell]
Ge: 0.0000 0.0000 0.5000 [1 per cell]
Sb: 0.0000 0.5000 0.8642 [2 per cell]
Sb: 0.5000 0.5000 0.5000 [1 per cell]